For TbMg2ZrAu4, the PBE geometry in OQMD gives the calculated powder diffractogram in this record (copper Kα).
Neutral-atom scattering factors, no anomalous dispersion.

Structural model:
a b c (Å): 4.836 4.836 6.813
angles (deg): 90.00 90.00 90.00
Sites, in units of the cell vectors:
Tb 0.000 0.000 0.000
Mg 0.000 0.000 0.500
Mg 0.500 0.500 0.000
Zr 0.500 0.500 0.500
Au 0.000 0.500 0.265
Au 0.000 0.500 0.735
Au 0.500 0.000 0.265
Au 0.500 0.000 0.735

The 10 most intense peaks (5 to 70 degrees two-theta), in order of rising 2θ:
- 2θ = 22.55°, intensity 8
- 2θ = 26.06°, intensity 17
- 2θ = 26.16°, intensity 8
- 2θ = 37.23°, intensity 100
- 2θ = 46.03°, intensity 7
- 2θ = 53.60°, intensity 12
- 2θ = 53.82°, intensity 5
- 2θ = 60.56°, intensity 7
- 2θ = 67.08°, intensity 24
- 2θ = 67.23°, intensity 11

---

For Fe2GeB, the PBE geometry in OQMD gives the calculated powder diffractogram in this record (copper Kα).
Neutral-atom scattering factors, no anomalous dispersion.

Structural model:
a b c (Å): 5.408 5.408 5.408
angles (deg): 90.00 90.00 90.00
Sites, in units of the cell vectors:
Fe 0.232 0.232 0.232
Fe 0.232 0.232 0.768
Fe 0.232 0.768 0.232
Fe 0.232 0.768 0.768
Fe 0.768 0.232 0.232
Fe 0.768 0.232 0.768
Fe 0.768 0.768 0.232
Fe 0.768 0.768 0.768
Ge 0.000 0.500 0.500
Ge 0.500 0.000 0.500
Ge 0.500 0.500 0.000
Ge 0.500 0.500 0.500
B 0.000 0.000 0.000
B 0.000 0.000 0.500
B 0.000 0.500 0.000
B 0.500 0.000 0.000

The 8 most intense peaks (5 to 70 degrees two-theta), in order of rising 2θ:
- 2θ = 16.39°, intensity 8
- 2θ = 28.59°, intensity 8
- 2θ = 33.13°, intensity 4
- 2θ = 37.17°, intensity 24
- 2θ = 47.55°, intensity 100
- 2θ = 50.63°, intensity 8
- 2θ = 56.43°, intensity 4
- 2θ = 69.52°, intensity 14

---

For YNiGePd, the PBE geometry in OQMD gives the calculated powder diffractogram in this record (copper Kα).
Neutral-atom scattering factors, no anomalous dispersion.

Structural model:
a b c (Å): 4.583 4.583 4.583
angles (deg): 60.00 60.00 60.00
Sites, in units of the cell vectors:
Y 0.000 0.000 0.000
Ni 0.750 0.750 0.750
Ge 0.500 0.500 0.500
Pd 0.250 0.250 0.250

The 5 most intense peaks (5 to 70 degrees two-theta), in order of rising 2θ:
- 2θ = 23.78°, intensity 5
- 2θ = 39.32°, intensity 100
- 2θ = 46.47°, intensity 2
- 2θ = 56.82°, intensity 17
- 2θ = 62.46°, intensity 1

---

For Ho2Al3In3, the PBE geometry in OQMD gives the calculated powder diffractogram in this record (copper Kα).
Neutral-atom scattering factors, no anomalous dispersion.

Structural model:
a b c (Å): 6.453 6.453 4.899
angles (deg): 90.00 90.00 120.00
Sites, in units of the cell vectors:
Ho 0.000 0.000 0.000
Ho 0.333 0.667 0.500
Al 0.369 0.185 0.500
Al 0.815 0.185 0.500
Al 0.815 0.631 0.500
In 0.509 0.017 0.000
In 0.509 0.491 0.000
In 0.983 0.491 0.000

The 10 most intense peaks (5 to 70 degrees two-theta), in order of rising 2θ:
- 2θ = 18.11°, intensity 16
- 2θ = 24.16°, intensity 23
- 2θ = 27.65°, intensity 9
- 2θ = 32.03°, intensity 33
- 2θ = 36.69°, intensity 22
- 2θ = 37.04°, intensity 100
- 2θ = 49.48°, intensity 19
- 2θ = 57.10°, intensity 17
- 2θ = 66.29°, intensity 18
- 2θ = 69.81°, intensity 19

---

For HgW2Au, the PBE geometry in OQMD gives the calculated powder diffractogram in this record (copper Kα).
Neutral-atom scattering factors, no anomalous dispersion.

Structural model:
a b c (Å): 4.639 4.639 4.639
angles (deg): 60.00 60.00 60.00
Sites, in units of the cell vectors:
Hg 0.000 0.000 0.000
W 0.250 0.250 0.250
W 0.500 0.500 0.500
Au 0.750 0.750 0.750

The 2 most intense peaks (5 to 70 degrees two-theta), in order of rising 2θ:
- 2θ = 38.82°, intensity 100
- 2θ = 56.07°, intensity 17

---

For Ba3Ta6Si4O26, the PBE geometry in OQMD gives the calculated powder diffractogram in this record (copper Kα).
Neutral-atom scattering factors, no anomalous dispersion.

Structural model:
a b c (Å): 9.016 9.016 7.710
angles (deg): 90.00 90.00 120.00
Sites, in units of the cell vectors:
Ba 0.000 0.605 0.000
Ba 0.395 0.395 0.000
Ba 0.605 0.000 0.000
Ta 0.000 0.238 0.257
Ta 0.000 0.238 0.743
Ta 0.238 0.000 0.257
Ta 0.238 0.000 0.743
Ta 0.762 0.762 0.257
Ta 0.762 0.762 0.743
Si 0.333 0.667 0.292
Si 0.333 0.667 0.708
Si 0.667 0.333 0.292
Si 0.667 0.333 0.708
O 0.000 0.219 0.000
O 0.000 0.288 0.500
O 0.000 0.818 0.275
O 0.000 0.818 0.725
O 0.182 0.182 0.275
O 0.182 0.182 0.725
O 0.182 0.488 0.211
O 0.182 0.488 0.789
O 0.219 0.000 0.000
O 0.288 0.000 0.500
O 0.306 0.818 0.211
O 0.306 0.818 0.789
O 0.333 0.667 0.500
O 0.488 0.182 0.211
O 0.488 0.182 0.789
O 0.512 0.694 0.211
O 0.512 0.694 0.789
O 0.667 0.333 0.500
O 0.694 0.512 0.211
O 0.694 0.512 0.789
O 0.712 0.712 0.500
O 0.781 0.781 0.000
O 0.818 0.000 0.275
O 0.818 0.000 0.725
O 0.818 0.306 0.211
O 0.818 0.306 0.789

The 10 most intense peaks (5 to 70 degrees two-theta), in order of rising 2θ:
- 2θ = 11.33°, intensity 38
- 2θ = 19.69°, intensity 44
- 2θ = 22.83°, intensity 38
- 2θ = 23.07°, intensity 28
- 2θ = 30.29°, intensity 100
- 2θ = 30.51°, intensity 77
- 2θ = 32.65°, intensity 28
- 2θ = 38.41°, intensity 34
- 2θ = 52.55°, intensity 26
- 2θ = 57.07°, intensity 35

---

For U8FeS17, the PBE geometry in OQMD gives the calculated powder diffractogram in this record (copper Kα).
Neutral-atom scattering factors, no anomalous dispersion.

Structural model:
a b c (Å): 7.721 7.721 10.213
angles (deg): 99.46 99.46 64.46
Sites, in units of the cell vectors:
U 0.181 0.699 0.796
U 0.203 0.203 0.953
U 0.301 0.819 0.204
U 0.318 0.318 0.482
U 0.682 0.682 0.518
U 0.699 0.181 0.796
U 0.797 0.797 0.047
U 0.819 0.301 0.204
Fe 0.000 0.000 0.500
S 0.000 0.000 0.000
S 0.055 0.684 0.524
S 0.057 0.057 0.722
S 0.181 0.566 0.036
S 0.214 0.214 0.221
S 0.300 0.300 0.742
S 0.316 0.945 0.476
S 0.434 0.819 0.964
S 0.478 0.478 0.331
S 0.522 0.522 0.669
S 0.566 0.181 0.036
S 0.684 0.055 0.524
S 0.700 0.700 0.258
S 0.786 0.786 0.779
S 0.819 0.434 0.964
S 0.943 0.943 0.278
S 0.945 0.316 0.476

The 10 most intense peaks (5 to 70 degrees two-theta), in order of rising 2θ:
- 2θ = 20.27°, intensity 41
- 2θ = 24.60°, intensity 58
- 2θ = 25.72°, intensity 100
- 2θ = 26.33°, intensity 65
- 2θ = 27.58°, intensity 64
- 2θ = 28.06°, intensity 91
- 2θ = 35.86°, intensity 42
- 2θ = 39.52°, intensity 40
- 2θ = 41.35°, intensity 43
- 2θ = 46.97°, intensity 40

---

For Cs5Nb2S4Cl9, the PBE geometry in OQMD gives the calculated powder diffractogram in this record (copper Kα).
Neutral-atom scattering factors, no anomalous dispersion.

Structural model:
a b c (Å): 10.408 10.408 10.408
angles (deg): 139.03 120.00 75.22
Sites, in units of the cell vectors:
Cs 0.000 0.000 0.000
Cs 0.056 0.336 0.720
Cs 0.384 0.664 0.720
Cs 0.616 0.336 0.280
Cs 0.944 0.664 0.280
Nb 0.411 0.911 0.500
Nb 0.589 0.089 0.500
S 0.403 0.244 0.648
S 0.403 0.756 0.159
S 0.597 0.244 0.841
S 0.597 0.756 0.352
Cl 0.000 0.500 0.500
Cl 0.125 0.871 0.254
Cl 0.298 0.036 0.738
Cl 0.298 0.559 0.262
Cl 0.382 0.129 0.254
Cl 0.618 0.871 0.746
Cl 0.702 0.441 0.738
Cl 0.702 0.964 0.262
Cl 0.875 0.129 0.746

The 10 most intense peaks (5 to 70 degrees two-theta), in order of rising 2θ:
- 2θ = 14.84°, intensity 26
- 2θ = 20.21°, intensity 100
- 2θ = 21.67°, intensity 71
- 2θ = 24.44°, intensity 45
- 2θ = 26.54°, intensity 36
- 2θ = 27.60°, intensity 39
- 2θ = 30.47°, intensity 37
- 2θ = 31.89°, intensity 51
- 2θ = 34.47°, intensity 34
- 2θ = 37.80°, intensity 41

---

For TbTlPS5, the PBE geometry in OQMD gives the calculated powder diffractogram in this record (copper Kα).
Neutral-atom scattering factors, no anomalous dispersion.

Structural model:
a b c (Å): 5.752 8.544 9.583
angles (deg): 113.41 92.09 92.02
Sites, in units of the cell vectors:
Tb 0.121 0.292 0.010
Tb 0.879 0.708 0.990
Tl 0.254 0.780 0.607
Tl 0.746 0.220 0.393
P 0.240 0.390 0.719
P 0.760 0.610 0.281
S 0.105 0.626 0.218
S 0.113 0.029 0.099
S 0.253 0.363 0.503
S 0.360 0.632 0.876
S 0.387 0.197 0.760
S 0.613 0.803 0.240
S 0.640 0.368 0.124
S 0.747 0.637 0.497
S 0.887 0.971 0.901
S 0.895 0.374 0.782

The 10 most intense peaks (5 to 70 degrees two-theta), in order of rising 2θ:
- 2θ = 18.93°, intensity 100
- 2θ = 19.45°, intensity 99
- 2θ = 22.71°, intensity 80
- 2θ = 23.66°, intensity 47
- 2θ = 24.84°, intensity 74
- 2θ = 27.96°, intensity 43
- 2θ = 33.38°, intensity 39
- 2θ = 34.07°, intensity 45
- 2θ = 37.09°, intensity 45
- 2θ = 51.00°, intensity 37

---

For Rb4Gd2Pb3, the PBE geometry in OQMD gives the calculated powder diffractogram in this record (copper Kα).
Neutral-atom scattering factors, no anomalous dispersion.

Structural model:
a b c (Å): 10.061 10.061 3.748
angles (deg): 90.00 90.00 120.00
Sites, in units of the cell vectors:
Rb 0.000 0.000 0.000
Rb 0.336 0.310 0.000
Rb 0.690 0.026 0.000
Rb 0.974 0.664 0.000
Gd 0.333 0.667 0.000
Gd 0.667 0.333 0.500
Pb 0.026 0.377 0.500
Pb 0.351 0.974 0.500
Pb 0.623 0.649 0.500

The 10 most intense peaks (5 to 70 degrees two-theta), in order of rising 2θ:
- 2θ = 10.15°, intensity 16
- 2θ = 17.63°, intensity 21
- 2θ = 29.72°, intensity 96
- 2θ = 30.79°, intensity 100
- 2θ = 31.49°, intensity 22
- 2θ = 36.31°, intensity 28
- 2θ = 43.32°, intensity 26
- 2θ = 51.84°, intensity 20
- 2θ = 54.09°, intensity 19
- 2θ = 58.62°, intensity 32

---

For PrAgSeO, the PBE geometry in OQMD gives the calculated powder diffractogram in this record (copper Kα).
Neutral-atom scattering factors, no anomalous dispersion.

Structural model:
a b c (Å): 5.785 5.787 9.452
angles (deg): 90.00 90.00 90.00
Sites, in units of the cell vectors:
Pr 0.000 0.000 0.000
Pr 0.000 0.500 0.254
Pr 0.500 0.000 0.254
Pr 0.500 0.500 0.000
Ag 0.233 0.224 0.629
Ag 0.267 0.724 0.629
Ag 0.733 0.276 0.629
Ag 0.767 0.776 0.629
Se 0.000 0.000 0.424
Se 0.000 0.500 0.827
Se 0.500 0.000 0.827
Se 0.500 0.500 0.424
O 0.249 0.250 0.126
O 0.251 0.750 0.126
O 0.749 0.250 0.126
O 0.751 0.750 0.126

The 10 most intense peaks (5 to 70 degrees two-theta), in order of rising 2θ:
- 2θ = 28.86°, intensity 100
- 2θ = 32.36°, intensity 59
- 2θ = 35.98°, intensity 36
- 2θ = 36.41°, intensity 57
- 2θ = 44.28°, intensity 57
- 2θ = 49.83°, intensity 35
- 2θ = 53.72°, intensity 35
- 2θ = 58.32°, intensity 20
- 2θ = 64.41°, intensity 19
- 2θ = 67.46°, intensity 19

---

For DyYC2I2, the PBE geometry in OQMD gives the calculated powder diffractogram in this record (copper Kα).
Neutral-atom scattering factors, no anomalous dispersion.

Structural model:
a b c (Å): 4.150 4.150 11.257
angles (deg): 92.94 92.94 56.15
Sites, in units of the cell vectors:
Dy 0.000 0.000 0.000
Y 0.709 0.709 0.756
C 0.277 0.277 0.906
C 0.432 0.432 0.851
I 0.030 0.030 0.569
I 0.678 0.678 0.187

The 10 most intense peaks (5 to 70 degrees two-theta), in order of rising 2θ:
- 2θ = 7.87°, intensity 87
- 2θ = 15.77°, intensity 34
- 2θ = 25.86°, intensity 48
- 2θ = 28.34°, intensity 74
- 2θ = 30.05°, intensity 36
- 2θ = 30.81°, intensity 100
- 2θ = 35.89°, intensity 24
- 2θ = 40.89°, intensity 30
- 2θ = 43.78°, intensity 43
- 2θ = 55.36°, intensity 22